Simulated PXRD pattern
Compound: Er3Sb2
Radiation: Cu Kα X-rays
Structure: a structure optimized by DFT (PBE)
Kinematic intensities with the Lorentz-polarization factor, no thermal factor.

Most intense lines, 2θ from 10° to 80°, sorted by position:
d = 3.479 Å, 2θ 25.60, rel. 100; d = 3.317 Å, 2θ 26.88, rel. 42; d = 3.099 Å, 2θ 28.81, rel. 41; d = 2.817 Å, 2θ 31.77, rel. 81; d = 2.727 Å, 2θ 32.84, rel. 19; d = 2.708 Å, 2θ 33.09, rel. 75; d = 2.488 Å, 2θ 36.10, rel. 100; d = 2.366 Å, 2θ 38.04, rel. 42; d = 2.324 Å, 2θ 38.75, rel. 38; d = 2.106 Å, 2θ 42.95, rel. 67; d = 1.914 Å, 2θ 47.51, rel. 27; d = 1.822 Å, 2θ 50.06, rel. 62

Structure:
```
Er3Sb2
1.0
-4.1792 5.7399 3.0989
4.1792 -5.7399 3.0989
4.1792 5.7399 -3.0989
Er Sb
6 4
Cartesian
5.4012 1.7707 0.0000 Er
0.0000 0.0000 1.5494 Er
1.2221 3.9692 0.0000 Er
2.9571 1.7707 3.0989 Er
0.0000 0.0000 4.6483 Er
-1.2221 3.9692 3.0989 Er
2.4216 1.2383 0.0000 Sb
2.4216 -1.2383 3.0989 Sb
1.7575 6.9783 0.0000 Sb
1.7575 4.5016 3.0989 Sb
```

---

Simulated PXRD pattern
Compound: Er3Sb
Radiation: Cu Kα X-rays
Structure: a structure optimized by DFT (PBE)
Kinematic intensities with the Lorentz-polarization factor, no thermal factor.

Most intense lines, 2θ from 10° to 80°, sorted by position:
d = 2.974 Å, 2θ 30.05, rel. 84; d = 2.890 Å, 2θ 30.94, rel. 100; d = 2.742 Å, 2θ 32.66, rel. 71; d = 2.676 Å, 2θ 33.49, rel. 84; d = 2.503 Å, 2θ 35.88, rel. 39; d = 2.405 Å, 2θ 37.40, rel. 75; d = 1.752 Å, 2θ 52.23, rel. 22; d = 1.734 Å, 2θ 52.79, rel. 23; d = 1.684 Å, 2θ 54.48, rel. 18; d = 1.639 Å, 2θ 56.13, rel. 23; d = 1.509 Å, 2θ 61.43, rel. 18; d = 1.487 Å, 2θ 62.45, rel. 21

Structure:
```
Er3Sb
1.0
12.2637 0.0000 0.0000
0.0000 12.2637 0.0000
0.0000 0.0000 6.1289
Er Sb
24 8
Cartesian
0.4410 11.3262 1.4290 Er
0.9375 6.5728 4.4934 Er
1.2927 3.4505 0.2180 Er
1.7315 10.2198 4.3733 Er
2.0438 7.8633 1.3088 Er
2.6814 1.2927 2.8464 Er
3.4505 4.8391 2.8464 Er
4.0880 10.5322 1.3088 Er
4.4003 8.1756 4.3733 Er
4.8391 2.6814 0.2180 Er
5.1943 11.8226 4.4934 Er
5.6908 7.0693 1.4290 Er
6.5728 5.1943 4.6999 Er
7.0693 0.4410 1.6355 Er
7.4246 9.5823 5.9109 Er
7.8633 4.0880 1.7556 Er
8.1756 1.7315 4.8201 Er
8.8132 7.4246 3.2824 Er
9.5823 10.9709 3.2824 Er
10.2198 4.4003 4.8201 Er
10.5322 2.0438 1.7556 Er
10.9709 8.8132 5.9109 Er
11.3262 5.6908 1.6355 Er
11.8226 0.9375 4.6999 Er
0.6160 3.5934 3.3126 Sb
2.5385 0.6160 5.8807 Sb
3.5934 5.5158 5.8807 Sb
5.5158 2.5385 3.3126 Sb
6.7479 9.7252 2.8163 Sb
8.6703 6.7479 0.2481 Sb
9.7252 11.6476 0.2481 Sb
11.6476 8.6703 2.8163 Sb
```